Structure and simulated powder diffractogram of Tb4ThSc (DFT lattice parameters and positions (PBE); λ = 1.5418 Å (Cu Kα)).
No peak broadening, texture or thermal motion is included.

```
12
Lattice="11.1399 0.0000 0.0000 0.0000 5.0224 0.0000 -2.1535 0.0000 6.5917" Properties=species:S:1:pos:R:3 pbc="T T T"
Tb 1.1078 0.0000 2.1835
Tb 0.0215 0.0000 5.4915
Tb 3.3949 2.5112 1.1002
Tb 2.3086 2.5112 4.4082
Tb 6.6778 2.5112 2.1835
Tb 5.5914 2.5112 5.4915
Tb 8.9649 0.0000 1.1002
Tb 7.8785 0.0000 4.4082
Th 0.0000 2.5112 0.0000
Th 5.5699 0.0000 0.0000
Sc -1.0768 2.5112 3.2958
Sc 4.4932 0.0000 3.2958
```

Largest 6 diffraction maxima, by angle, 10 to 90 degrees two-theta:
- 2θ 31.0, I 100
- 2θ 31.3, I 97
- 2θ 35.8, I 34
- 2θ 36.3, I 65
- 2θ 51.9, I 59
- 2θ 61.8, I 28

Structure and simulated powder diffractogram of Th2MgPb2 (DFT lattice parameters and positions (PBE); λ = 1.5418 Å (Cu Kα)).
No peak broadening, texture or thermal motion is included.

```
10
Lattice="2.5552 -8.6984 0.0000 2.5552 8.6984 0.0000 0.0000 0.0000 6.8304" Properties=species:S:1:pos:R:3 pbc="T T T"
Th 2.5552 8.5955 3.4152
Th 2.5552 5.3704 5.3876
Th 2.5552 -5.3704 1.9724
Th 2.5552 -8.5955 0.0000
Mg 2.5552 1.8241 4.7943
Mg 2.5552 -1.8241 1.3791
Pb 2.5552 5.5039 1.9293
Pb 2.5552 1.2976 1.7155
Pb 2.5552 -1.2976 5.1307
Pb 2.5552 -5.5039 5.3445
```

Largest 6 diffraction maxima, by angle, 10 to 90 degrees two-theta:
- 2θ 28.1, I 23
- 2θ 31.1, I 71
- 2θ 31.9, I 18
- 2θ 35.2, I 100
- 2θ 49.7, I 20
- 2θ 62.3, I 20